# 1
The following is a theoretical XRD peak list of Er2Ir3Ru. It was derived from a DFT-relaxed cell (GGA-PBE, Alexandria), using CuKα.
Intensities are scaled so that the largest is 100.

Cell and atoms:
Cell lengths 5.3398, 5.3398, 8.6561 Å; angles 90.00, 90.00, 120.00 degrees
Fractional positions:
Er  0.3333  0.6667  0.0656
Er  0.3333  0.6667  0.4344
Er  0.6667  0.3333  0.5656
Er  0.6667  0.3333  0.9344
Ir  0.1693  0.3386  0.7500
Ir  0.1693  0.8307  0.7500
Ir  0.3386  0.1693  0.2500
Ir  0.6614  0.8307  0.7500
Ir  0.8307  0.1693  0.2500
Ir  0.8307  0.6614  0.2500
Ru  0.0000  0.0000  0.0000
Ru  0.0000  0.0000  0.5000

Principal peaks in the range 5 to 70 degrees two-theta, most intense first:
2θ = 40.38°, rel. 100
2θ = 39.66°, rel. 76
2θ = 36.71°, rel. 69
2θ = 67.60°, rel. 33
2θ = 62.09°, rel. 28
2θ = 64.13°, rel. 19
2θ = 38.95°, rel. 18
2θ = 41.74°, rel. 17
2θ = 44.42°, rel. 16
2θ = 20.52°, rel. 14


# 2
The following is a theoretical XRD peak list of Er7Ir2Ru2. It was derived from a DFT-relaxed cell (GGA-PBE, Alexandria), using CuKα.
Intensities are scaled so that the largest is 100.

Cell and atoms:
Cell lengths 6.4460, 6.4460, 6.7847 Å; angles 90.00, 90.00, 104.47 degrees
Fractional positions:
Er  0.0000  0.0000  0.0000
Er  0.0000  0.5000  0.2721
Er  0.0000  0.5000  0.7279
Er  0.5000  0.0000  0.2721
Er  0.5000  0.0000  0.7279
Er  0.5000  0.5000  0.2615
Er  0.5000  0.5000  0.7385
Ir  0.2820  0.7180  0.0000
Ir  0.7180  0.2820  0.0000
Ru  0.1810  0.1810  0.5000
Ru  0.8190  0.8190  0.5000

Principal peaks in the range 5 to 70 degrees two-theta, most intense first:
2θ = 39.23°, rel. 100
2θ = 35.22°, rel. 45
2θ = 26.12°, rel. 36
2θ = 28.60°, rel. 24
2θ = 29.98°, rel. 23
2θ = 59.22°, rel. 18
2θ = 45.98°, rel. 18
2θ = 65.89°, rel. 17
2θ = 34.87°, rel. 16
2θ = 44.39°, rel. 16


# 3
The following is a theoretical XRD peak list of Er2Si4Ir3Ru. It was derived from a DFT-relaxed cell (GGA-PBE, Alexandria), using CuKα.
Intensities are scaled so that the largest is 100.

Cell and atoms:
Cell lengths 4.1574, 4.1574, 9.6479 Å; angles 90.00, 90.00, 90.00 degrees
Fractional positions:
Er  0.0000  0.5000  0.2487
Er  0.5000  0.0000  0.7513
Si  0.0000  0.0000  0.0000
Si  0.0000  0.5000  0.6256
Si  0.5000  0.0000  0.3744
Si  0.5000  0.5000  0.0000
Ir  0.0000  0.5000  0.8715
Ir  0.5000  0.0000  0.1285
Ir  0.5000  0.5000  0.5000
Ru  0.0000  0.0000  0.5000

Principal peaks in the range 5 to 70 degrees two-theta, most intense first:
2θ = 35.77°, rel. 100
2θ = 35.28°, rel. 84
2θ = 43.54°, rel. 74
2θ = 31.82°, rel. 59
2θ = 57.23°, rel. 42
2θ = 28.34°, rel. 40
2θ = 52.27°, rel. 32
2θ = 30.41°, rel. 27
2θ = 63.27°, rel. 25
2θ = 27.74°, rel. 23